1.
This entry pairs a crystal structure of PrNdSb2 with its theoretical powder diffractogram. Radiation: Cu Kα (weighted mean of Kα1 and Kα2). Structure: the GGA-PBE geometry in the Materials Project.
Lines closer than 0.1° are merged.

Largest 10 diffraction maxima, sorted by position, 10° ≤ 2θ ≤ 90°:
- hkl 1 0 4, d 3.220, 27.70°, I = 100
- hkl 1 1 0, d 2.286, 39.42°, I = 39
- hkl 0 1 8, d 2.268, 39.74°, I = 38
- hkl 0 2 4, d 1.864, 48.86°, I = 21
- hkl 0 0 12, d 1.845, 49.40°, I = 7
- hkl 2 0 8, d 1.610, 57.22°, I = 13
- hkl 2 1 4, d 1.445, 64.51°, I = 18
- hkl 1 1 12, d 1.436, 64.96°, I = 18
- hkl 3 0 0, d 1.320, 71.49°, I = 7
- hkl 1 2 8, d 1.316, 71.70°, I = 13

Structural model:
Lattice parameters (Å, degrees): 4.5715 4.5715 22.1381 90.00 90.00 120.00
Space group R-3m (No. 166, hexagonal axes)
One atom of each set of equivalent atoms:
1 Pr 0.0000 0.0000 0.0000 [3 per cell]
2 Nd 0.0000 0.0000 0.5000 [3 per cell]
3 Sb 0.0000 0.0000 0.2495 [6 per cell]


2.
This entry pairs a crystal structure of GeSb3 with its theoretical powder diffractogram. Radiation: Cu Kα (weighted mean of Kα1 and Kα2). Structure: the GGA-PBE geometry in the Materials Project.
Lines closer than 0.1° are merged.

Largest 10 diffraction maxima, sorted by position, 10° ≤ 2θ ≤ 90°:
- hkl 1 0 1, d 3.908, 22.75°, I = 6
- hkl 2 0 0, d 2.901, 30.82°, I = 24
- hkl 0 0 2, d 2.644, 33.91°, I = 25
- hkl 2 0 1, d 2.543, 35.29°, I = 100
- hkl 2 0 2, d 1.954, 46.47°, I = 15
- hkl 2 2 0, d 1.675, 54.81°, I = 18
- hkl 2 0 3, d 1.506, 61.57°, I = 19
- hkl 2 2 2, d 1.415, 66.03°, I = 20
- hkl 4 0 1, d 1.399, 66.88°, I = 14
- hkl 4 0 3, d 1.120, 87.00°, I = 7

Structural model:
Lattice parameters (Å, degrees): 6.6999 6.6999 5.2870 90.00 90.00 120.00
Space group P6_3/mmc (No. 194)
One atom of each set of equivalent atoms:
1 Ge 0.3333 0.6667 0.2500 [2 per cell]
2 Sb 0.1740 0.3479 0.7500 [6 per cell]


3.
This entry pairs a crystal structure of NaBO7 with its theoretical powder diffractogram. Radiation: Cu Kα (weighted mean of Kα1 and Kα2). Structure: the GGA-PBE geometry in the Materials Project.
Lines closer than 0.1° are merged.

Largest 10 diffraction maxima, sorted by position, 10° ≤ 2θ ≤ 90°:
- hkl 1 -1 0, d 5.816, 15.23°, I = 19
- hkl 1 0 -1, d 5.549, 15.97°, I = 14
- hkl 1 -1 1, d 4.179, 21.26°, I = 14
- hkl 0 1 -2, d 3.507, 25.40°, I = 55
- hkl -2 1 1, d 3.293, 27.08°, I = 15
- hkl 1 1 0, d 3.272, 27.25°, I = 28
- hkl 2 -2 0, d 2.908, 30.75°, I = 100
- hkl -2 1 2, d 2.754, 32.51°, I = 35
- hkl 1 0 2, d 2.410, 37.31°, I = 16
- hkl 2 1 0, d 2.104, 42.98°, I = 16

Structural model:
Lattice parameters (Å, degrees): 6.706 7.141 7.485 101.18 107.34 115.49
Space group P-1 (No. 2)
One atom of each set of equivalent atoms:
1 Na 0.000 0.000 0.000 [1 per cell]
2 Na 0.000 0.000 0.500 [1 per cell]
3 B 0.415 0.412 0.282 [2 per cell]
4 O 0.171 0.655 0.380 [2 per cell]
5 O 0.188 0.823 0.348 [2 per cell]
6 O 0.244 0.703 0.973 [2 per cell]
7 O 0.270 0.793 0.849 [2 per cell]
8 O 0.289 0.281 0.378 [2 per cell]
9 O 0.322 0.317 0.086 [2 per cell]
10 O 0.374 0.372 0.608 [2 per cell]


4.
This entry pairs a crystal structure of Na3GdI6 with its theoretical powder diffractogram. Radiation: Cu Kα (weighted mean of Kα1 and Kα2). Structure: the GGA-PBE geometry in the Materials Project.
Lines closer than 0.1° are merged.

Largest 10 diffraction maxima, sorted by position, 10° ≤ 2θ ≤ 90°:
- hkl 1 1 0, d 6.547, 13.52°, I = 12
- hkl 2 0 0, d 3.724, 23.90°, I = 42
- hkl 0 0 2, d 3.703, 24.03°, I = 14
- hkl 1 3 1, d 3.220, 27.70°, I = 100
- hkl 3 3 -1, d 2.285, 39.44°, I = 25
- hkl 2 0 2, d 2.273, 39.65°, I = 50
- hkl 3 3 1, d 1.944, 46.73°, I = 12
- hkl 2 6 -2, d 1.860, 48.97°, I = 13
- hkl 3 3 3, d 1.439, 64.80°, I = 16
- hkl 5 3 1, d 1.316, 71.69°, I = 12

Structural model:
Lattice parameters (Å, degrees): 7.924 13.657 7.866 90.00 109.69 90.00
Space group C2 (No. 5)
One atom of each set of equivalent atoms:
1 Na 0.000 0.000 0.000 [2 per cell]
2 Na 0.000 0.161 0.500 [2 per cell]
3 Na 0.000 0.666 0.000 [2 per cell]
4 Gd 0.000 0.333 0.000 [2 per cell]
5 I 0.236 0.332 0.760 [4 per cell]
6 I 0.240 0.174 0.245 [4 per cell]
7 I 0.242 0.492 0.244 [4 per cell]